Calculated powder diffraction line list
Compound: Tc2O
Radiation: λ = 1.5418 Å (Cu Kα)
Structure: a cell relaxed with GGA-PBE
Intensities are scaled so that the largest is 100.

The 7 most intense peaks (5 to 70 degrees two-theta), low angle first:
2θ (°)  d (Å)  Rel. int.
21.88  4.063  100
36.10  2.488  1
42.61  2.122  81
44.61  2.031  77
51.98  1.759  31
57.05  1.614  22
69.40  1.354  24

Structural model:
```
Tc2O
1.0
0.0000 3.5185 3.5185
3.5185 0.0000 3.5185
3.5185 3.5185 0.0000
Tc O
4 2
direct
0.0000 0.0000 0.0000 Tc
0.0000 0.0000 0.5000 Tc
0.0000 0.5000 0.0000 Tc
0.5000 0.0000 0.0000 Tc
0.3750 0.3750 0.3750 O
0.6250 0.6250 0.6250 O
```